1.
The following is a theoretical X-ray diffraction stick pattern of Ti10Nb4Ga. It was derived from a PBE-relaxed structure, using copper Kα.
Neutral-atom scattering factors, no anomalous dispersion.

Cell and atoms:
a = 4.623 Å, b = 7.255 Å, c = 8.348 Å
α = 103.69°, β = 90.78°, γ = 106.75°
Positions (direct):
Ti 0.025 0.057 0.193
Ti 0.205 0.353 0.008
Ti 0.240 0.454 0.390
Ti 0.353 0.743 0.208
Ti 0.434 0.855 0.600
Ti 0.566 0.145 0.400
Ti 0.647 0.257 0.792
Ti 0.760 0.546 0.610
Ti 0.795 0.647 0.992
Ti 0.975 0.943 0.807
Nb 0.099 0.194 0.594
Nb 0.265 0.590 0.803
Nb 0.735 0.410 0.197
Nb 0.901 0.806 0.406
Ga 0.500 0.000 0.000

Top 12 peaks for 2θ = 10–90°, most intense first:
2theta  I_rel
38.94  100.0
38.56  51.2
39.04  51.1
39.18  50.6
39.98  47.9
55.27  15.5
56.99  15.4
57.23  15.1
72.16  14.6
70.16  14.4
70.98  14.1
22.55  11.9

***

2.
The following is a theoretical X-ray diffraction stick pattern of Ti2NbGa3. It was derived from a PBE-relaxed structure, using copper Kα.
Neutral-atom scattering factors, no anomalous dispersion.

Cell and atoms:
a = 6.311 Å, b = 6.311 Å, c = 4.022 Å
α = 90.00°, β = 90.00°, γ = 143.21°
Positions (direct):
Ti 0.167 0.833 0.000
Ti 0.833 0.167 0.000
Nb 0.500 0.500 0.000
Ga 0.000 0.000 0.500
Ga 0.331 0.669 0.500
Ga 0.669 0.331 0.500

Top 12 peaks for 2θ = 10–90°, most intense first:
2theta  I_rel
39.01  100.0
65.98  19.8
45.09  16.3
45.44  15.9
45.54  15.8
79.10  11.5
79.76  11.2
79.60  11.2
83.79  9.9
66.29  9.7
14.79  3.1
32.51  2.5

***

- What is the formula in the second record?
  Ti2NbGa3